The following is a simulated PXRD pattern of Cd2Ag7Pd. It was derived from a DFT-relaxed cell (PBE, Alexandria), using Cu Kα (weighted mean of Kα1 and Kα2).
Intensities are scaled so that the largest is 100.

Cell lengths 9.4575, 9.4575, 2.8666 Å; angles 90.00, 90.00, 124.25 degrees
Positions (direct):
Cd1 0.1778 0.8222 0.0000
Cd2 0.8222 0.1778 0.0000
Ag1 0.0000 0.0000 0.0000
Ag2 0.1876 0.3599 0.0000
Ag3 0.3251 0.6749 0.5000
Ag4 0.3599 0.1876 0.0000
Ag5 0.6401 0.8124 0.0000
Ag6 0.6749 0.3251 0.5000
Ag7 0.8124 0.6401 0.0000
Pd1 0.5000 0.5000 0.5000

Main lines, in order of rising 2θ (2θ from 10° to 90°):
10.58°, I 24
22.75°, I 22
29.40°, I 20
33.29°, I 34
38.17°, I 100
40.82°, I 41
42.79°, I 47
44.41°, I 39
68.34°, I 22
78.02°, I 23

The following is a simulated PXRD pattern of CaPd2Au9. It was derived from a DFT-relaxed cell (PBE, Alexandria), using Cu Kα (weighted mean of Kα1 and Kα2).
Intensities are scaled so that the largest is 100.

Cell lengths 8.8000, 8.8000, 8.8000 Å; angles 100.00, 100.00, 130.76 degrees
Positions (direct):
Ca1 0.3750 0.6250 0.7500
Ca2 0.6250 0.3750 0.2500
Pd1 0.0000 0.0000 0.0000
Pd2 0.0000 0.0000 0.5000
Pd3 0.0000 0.5000 0.0000
Pd4 0.5000 0.0000 0.5000
Au1 0.1250 0.8750 0.2500
Au2 0.1289 0.5560 0.3318
Au3 0.1289 0.7971 0.5729
Au4 0.2029 0.2757 0.3318
Au5 0.2029 0.8711 0.9271
Au6 0.2757 0.2029 0.8318
Au7 0.2757 0.4440 0.0729
Au8 0.4440 0.2757 0.5729
Au9 0.4440 0.8711 0.1682
Au10 0.5560 0.1289 0.8318
Au11 0.5560 0.7243 0.4271
Au12 0.7243 0.5560 0.9271
Au13 0.7243 0.7971 0.1682
Au14 0.7971 0.1289 0.0729
Au15 0.7971 0.7243 0.6682
Au16 0.8711 0.2029 0.4271
Au17 0.8711 0.4440 0.6682
Au18 0.8750 0.1250 0.7500

Main lines, in order of rising 2θ (2θ from 10° to 90°):
15.67°, I 25
21.34°, I 18
35.04°, I 57
35.48°, I 44
37.65°, I 17
41.01°, I 34
41.78°, I 100
43.46°, I 22
63.43°, I 21
68.02°, I 16

The following is a simulated PXRD pattern of NdTmAlGa. It was derived from a DFT-relaxed cell (PBE, Alexandria), using Cu Kα (weighted mean of Kα1 and Kα2).
Intensities are scaled so that the largest is 100.

Cell lengths 4.1256, 4.4367, 11.1360 Å; angles 90.00, 90.00, 90.00 degrees
Positions (direct):
Nd1 0.0000 0.0000 0.0000
Nd2 0.0000 0.5000 0.5000
Tm1 0.5000 0.0000 0.7193
Tm2 0.5000 0.5000 0.2193
Al1 0.0000 0.0000 0.2856
Al2 0.0000 0.5000 0.7856
Ga1 0.5000 0.0000 0.4310
Ga2 0.5000 0.5000 0.9310

Main lines, in order of rising 2θ (2θ from 10° to 90°):
21.56°, I 22
26.90°, I 44
30.66°, I 100
31.42°, I 52
32.15°, I 27
38.42°, I 41
40.67°, I 24
43.89°, I 19
49.43°, I 21
54.97°, I 21

The following is a simulated PXRD pattern of Na2B3C. It was derived from a DFT-relaxed cell (PBE, Alexandria), using Cu Kα (weighted mean of Kα1 and Kα2).
Intensities are scaled so that the largest is 100.

Cell lengths 4.9047, 7.6406, 9.1236 Å; angles 77.24, 75.16, 75.73 degrees
Positions (direct):
Na1 0.0000 0.0000 0.0000
Na2 0.0027 0.4962 0.5054
Na3 0.1987 0.6010 0.9985
Na4 0.2017 0.0996 0.5074
Na5 0.3938 0.6989 0.5110
Na6 0.4081 0.1993 0.0045
Na7 0.5906 0.8028 0.0025
Na8 0.6067 0.2918 0.5160
Na9 0.7955 0.9017 0.5033
Na10 0.8178 0.3939 0.9982
B1 0.0384 0.3419 0.2558
B2 0.1738 0.2373 0.7563
B3 0.2382 0.9506 0.2540
B4 0.2581 0.4476 0.7542
B5 0.3513 0.8588 0.7542
B6 0.3821 0.5813 0.2538
B7 0.4194 0.3473 0.2555
B8 0.6129 0.4293 0.7555
B9 0.6313 0.6738 0.7533
B10 0.6670 0.1375 0.2544
B11 0.7415 0.0583 0.7562
B12 0.7476 0.5244 0.2556
B13 0.8100 0.7627 0.2540
B14 0.9828 0.6252 0.7526
B15 0.9956 0.8582 0.7539
C1 0.1443 0.7574 0.2533
C2 0.4143 0.0554 0.7566
C3 0.5713 0.9467 0.2537
C4 0.8414 0.2459 0.7568
C5 0.9974 0.1367 0.2546

Main lines, in order of rising 2θ (2θ from 10° to 90°):
34.17°, I 14
36.76°, I 9
40.13°, I 25
40.15°, I 25
41.55°, I 40
42.37°, I 100
56.63°, I 10
62.74°, I 9
76.38°, I 13
78.09°, I 9

The following is a simulated PXRD pattern of Hg4AsS2I. It was derived from a DFT-relaxed cell (PBE, Alexandria), using Cu Kα (weighted mean of Kα1 and Kα2).
Intensities are scaled so that the largest is 100.

Cell lengths 8.8611, 8.8611, 8.8611 Å; angles 127.56, 127.25, 77.59 degrees
Positions (direct):
Hg1 0.2352 0.2013 0.0339
Hg2 0.2584 0.2744 0.5161
Hg3 0.2584 0.7423 0.9839
Hg4 0.3326 0.7987 0.5339
Hg5 0.6674 0.2013 0.4661
Hg6 0.7416 0.2577 0.0161
Hg7 0.7416 0.7256 0.4839
Hg8 0.7648 0.7987 0.9661
As1 0.0000 0.0000 0.0000
As2 0.5000 0.0000 0.5000
S1 0.0000 0.5000 0.5000
S2 0.5000 0.0000 0.0000
S3 0.5000 0.5000 0.0000
S4 0.5000 0.5000 0.5000
I1 0.0000 0.0000 0.5000
I2 0.0000 0.5000 0.0000

Main lines, in order of rising 2θ (2θ from 10° to 90°):
22.40°, I 25
25.80°, I 53
26.08°, I 41
26.18°, I 39
32.25°, I 100
41.57°, I 19
41.75°, I 56
46.13°, I 25
46.39°, I 19
53.82°, I 19

The following is a simulated PXRD pattern of InH4CSeO7. It was derived from a DFT-relaxed cell (PBE, Alexandria), using Cu Kα (weighted mean of Kα1 and Kα2).
Intensities are scaled so that the largest is 100.

Cell lengths 5.3813, 7.1596, 9.5783 Å; angles 99.99, 103.62, 108.24 degrees
Positions (direct):
In1 0.1076 0.0396 0.3273
In2 0.8924 0.9604 0.6727
H1 0.1191 0.4837 0.9012
H2 0.1272 0.6922 0.7701
H3 0.2032 0.7232 0.6185
H4 0.3865 0.6864 0.9813
H5 0.6135 0.3136 0.0187
H6 0.7968 0.2768 0.3815
H7 0.8728 0.3078 0.2299
H8 0.8809 0.5163 0.0988
C1 0.1437 0.0838 0.0186
C2 0.8563 0.9162 0.9814
Se1 0.4469 0.6821 0.3650
Se2 0.5531 0.3179 0.6350
O1 0.0571 0.7161 0.6690
O2 0.1891 0.6330 0.9252
O3 0.2075 0.7725 0.2802
O4 0.2217 0.1353 0.9107
O5 0.2303 0.1211 0.5889
O6 0.2851 0.1595 0.1543
O7 0.4590 0.7263 0.5502
O8 0.5410 0.2737 0.4498
O9 0.7149 0.8405 0.8457
O10 0.7697 0.8789 0.4111
O11 0.7783 0.8647 0.0893
O12 0.7925 0.2275 0.7198
O13 0.8109 0.3670 0.0748
O14 0.9429 0.2839 0.3310

Main lines, in order of rising 2θ (2θ from 10° to 90°):
13.51°, I 65
17.86°, I 36
18.27°, I 44
22.43°, I 33
26.60°, I 100
27.04°, I 34
29.89°, I 34
31.58°, I 35
44.35°, I 18
48.38°, I 17

The following is a simulated PXRD pattern of TbTm3P4. It was derived from a DFT-relaxed cell (PBE, Alexandria), using Cu Kα (weighted mean of Kα1 and Kα2).
Intensities are scaled so that the largest is 100.

Cell lengths 7.9373, 11.2225, 3.9690 Å; angles 90.00, 90.00, 90.00 degrees
Positions (direct):
Tb1 0.0000 0.0000 0.0000
Tb2 0.5000 0.5000 0.0000
Tm1 0.0000 0.5000 0.0000
Tm2 0.2500 0.2500 0.5000
Tm3 0.2500 0.7500 0.5000
Tm4 0.5000 0.0000 0.0000
Tm5 0.7500 0.2500 0.5000
Tm6 0.7500 0.7500 0.5000
P1 0.0000 0.2517 0.0000
P2 0.0000 0.7483 0.0000
P3 0.2466 0.5000 0.5000
P4 0.2534 0.0000 0.5000
P5 0.5000 0.2483 0.0000
P6 0.5000 0.7517 0.0000
P7 0.7466 0.0000 0.5000
P8 0.7534 0.5000 0.5000

Main lines, in order of rising 2θ (2θ from 10° to 90°):
27.53°, I 90
31.89°, I 100
45.73°, I 73
54.20°, I 44
56.83°, I 25
66.66°, I 12
73.56°, I 18
75.80°, I 33
84.59°, I 25

The following is a simulated PXRD pattern of Rb2PaI5Cl. It was derived from a DFT-relaxed cell (PBE, Alexandria), using Cu Kα (weighted mean of Kα1 and Kα2).
Intensities are scaled so that the largest is 100.

Cell lengths 8.3825, 8.3825, 8.3825 Å; angles 117.96, 117.96, 93.57 degrees
Positions (direct):
Rb1 0.0000 0.5000 0.5000
Rb2 0.5000 0.0000 0.5000
Pa1 0.2513 0.2513 0.0000
I1 0.4952 0.4952 0.4996
I2 0.4952 0.9957 0.0000
I3 0.9883 0.9883 0.0000
I4 0.9957 0.4952 0.0000
I5 0.9957 0.9957 0.5004
Cl1 0.4772 0.4772 0.0000

Main lines, in order of rising 2θ (2θ from 10° to 90°):
12.82°, I 67
15.44°, I 31
24.31°, I 31
25.81°, I 93
29.24°, I 100
31.17°, I 42
41.82°, I 37
43.26°, I 67
49.80°, I 29
53.07°, I 36

The following is a simulated PXRD pattern of Pu2Al5Ag3. It was derived from a DFT-relaxed cell (PBE, Alexandria), using Cu Kα (weighted mean of Kα1 and Kα2).
Intensities are scaled so that the largest is 100.

Cell lengths 8.7901, 8.7901, 8.7901 Å; angles 104.62, 89.04, 139.85 degrees
Positions (direct):
Pu1 0.1371 0.2309 0.3680
Pu2 0.3629 0.7309 0.0938
Pu3 0.6371 0.2691 0.9062
Pu4 0.8629 0.7691 0.6320
Al1 0.0288 0.7500 0.2788
Al2 0.1069 0.6581 0.7650
Al3 0.2500 0.2500 0.0000
Al4 0.3931 0.1581 0.5513
Al5 0.4712 0.7500 0.7212
Al6 0.5288 0.2500 0.2788
Al7 0.6069 0.8419 0.4487
Al8 0.7500 0.7500 0.0000
Al9 0.8931 0.3419 0.2350
Al10 0.9712 0.2500 0.7212
Ag1 0.1375 0.8893 0.0268
Ag2 0.2500 0.7500 0.5000
Ag3 0.3625 0.3893 0.7518
Ag4 0.6375 0.6107 0.2482
Ag5 0.7500 0.2500 0.5000
Ag6 0.8625 0.1107 0.9732

Main lines, in order of rising 2θ (2θ from 10° to 90°):
22.06°, I 45
28.48°, I 24
29.61°, I 24
32.38°, I 100
33.09°, I 41
34.08°, I 43
41.55°, I 50
47.17°, I 23
52.96°, I 21
54.31°, I 30

The following is a simulated PXRD pattern of Ce4Ge. It was derived from a DFT-relaxed cell (PBE, Alexandria), using Cu Kα (weighted mean of Kα1 and Kα2).
Intensities are scaled so that the largest is 100.

Cell lengths 6.0874, 5.7392, 7.9206 Å; angles 90.00, 96.58, 90.00 degrees
Positions (direct):
Ce1 0.1099 0.1990 0.4514
Ce2 0.1099 0.3010 0.9514
Ce3 0.2596 0.6785 0.7700
Ce4 0.2596 0.8215 0.2700
Ce5 0.7404 0.1785 0.7300
Ce6 0.7404 0.3215 0.2300
Ce7 0.8901 0.6990 0.0486
Ce8 0.8901 0.8010 0.5486
Ge1 0.5000 0.0000 0.0000
Ge2 0.5000 0.5000 0.5000

Main lines, in order of rising 2θ (2θ from 10° to 90°):
24.98°, I 48
28.45°, I 19
30.00°, I 100
32.52°, I 22
33.50°, I 25
39.62°, I 27
42.70°, I 20
44.12°, I 20
47.83°, I 25
48.97°, I 25

The following is a simulated PXRD pattern of MgH2Se2O6. It was derived from a DFT-relaxed cell (PBE, Alexandria), using Cu Kα (weighted mean of Kα1 and Kα2).
Intensities are scaled so that the largest is 100.

Cell lengths 5.2856, 5.8281, 9.9327 Å; angles 90.00, 109.01, 90.00 degrees
Positions (direct):
Mg1 0.0000 0.0000 0.0000
Mg2 0.0000 0.5000 0.5000
H1 0.4523 0.2296 0.4884
H2 0.4523 0.2704 0.9884
H3 0.5477 0.7296 0.0116
H4 0.5477 0.7704 0.5116
Se1 0.0824 0.5096 0.8456
Se2 0.0824 0.9904 0.3456
Se3 0.9176 0.0096 0.6544
Se4 0.9176 0.4904 0.1544
O1 0.2269 0.5084 0.7176
O2 0.2269 0.9916 0.2176
O3 0.2403 0.7290 0.9582
O4 0.2403 0.7710 0.4582
O5 0.2450 0.2391 0.4543
O6 0.2450 0.2609 0.9543
O7 0.7550 0.7391 0.0457
O8 0.7550 0.7609 0.5457
O9 0.7597 0.2290 0.5418
O10 0.7597 0.2710 0.0418
O11 0.7731 0.0084 0.7824
O12 0.7731 0.4916 0.2824

Main lines, in order of rising 2θ (2θ from 10° to 90°):
17.75°, I 100
17.91°, I 27
21.33°, I 36
27.45°, I 55
30.68°, I 19
32.26°, I 36
32.47°, I 37
35.67°, I 33
41.21°, I 18
41.70°, I 19

The following is a simulated PXRD pattern of Pm2Er2Te5. It was derived from a DFT-relaxed cell (PBE, Alexandria), using Cu Kα (weighted mean of Kα1 and Kα2).
Intensities are scaled so that the largest is 100.

Cell lengths 11.0841, 11.0841, 11.0841 Å; angles 63.10, 133.37, 139.97 degrees
Positions (direct):
Pm1 0.0725 0.0886 0.1611
Pm2 0.0725 0.4114 0.4839
Pm3 0.9275 0.5886 0.5161
Pm4 0.9275 0.9114 0.8389
Er1 0.3561 0.7138 0.1423
Er2 0.5495 0.0495 0.5000
Er3 0.5495 0.5495 0.0000
Er4 0.5714 0.2138 0.8577
Te1 0.0097 0.3258 0.1839
Te2 0.0395 0.2875 0.8266
Te3 0.0395 0.7129 0.2520
Te4 0.1419 0.8258 0.8161
Te5 0.4609 0.2129 0.1734
Te6 0.4609 0.7875 0.7480
Te7 0.5043 0.2641 0.5383
Te8 0.5043 0.4660 0.7402
Te9 0.7258 0.7641 0.2598
Te10 0.7258 0.9660 0.4617

Main lines, in order of rising 2θ (2θ from 10° to 90°):
23.45°, I 61
23.90°, I 42
24.41°, I 54
25.67°, I 72
29.31°, I 74
31.17°, I 77
32.43°, I 100
33.45°, I 35
33.79°, I 81
41.51°, I 64

Please write out number 6 again, unchanged.
The following is a simulated PXRD pattern of InH4CSeO7. It was derived from a DFT-relaxed cell (PBE, Alexandria), using Cu Kα (weighted mean of Kα1 and Kα2).
Intensities are scaled so that the largest is 100.

Cell lengths 5.3813, 7.1596, 9.5783 Å; angles 99.99, 103.62, 108.24 degrees
Positions (direct):
In1 0.1076 0.0396 0.3273
In2 0.8924 0.9604 0.6727
H1 0.1191 0.4837 0.9012
H2 0.1272 0.6922 0.7701
H3 0.2032 0.7232 0.6185
H4 0.3865 0.6864 0.9813
H5 0.6135 0.3136 0.0187
H6 0.7968 0.2768 0.3815
H7 0.8728 0.3078 0.2299
H8 0.8809 0.5163 0.0988
C1 0.1437 0.0838 0.0186
C2 0.8563 0.9162 0.9814
Se1 0.4469 0.6821 0.3650
Se2 0.5531 0.3179 0.6350
O1 0.0571 0.7161 0.6690
O2 0.1891 0.6330 0.9252
O3 0.2075 0.7725 0.2802
O4 0.2217 0.1353 0.9107
O5 0.2303 0.1211 0.5889
O6 0.2851 0.1595 0.1543
O7 0.4590 0.7263 0.5502
O8 0.5410 0.2737 0.4498
O9 0.7149 0.8405 0.8457
O10 0.7697 0.8789 0.4111
O11 0.7783 0.8647 0.0893
O12 0.7925 0.2275 0.7198
O13 0.8109 0.3670 0.0748
O14 0.9429 0.2839 0.3310

Main lines, in order of rising 2θ (2θ from 10° to 90°):
13.51°, I 65
17.86°, I 36
18.27°, I 44
22.43°, I 33
26.60°, I 100
27.04°, I 34
29.89°, I 34
31.58°, I 35
44.35°, I 18
48.38°, I 17